Diffraction record for Nd2TmSn3Ir2Pd. The PXRD pattern is calculated, not measured: it uses the PBE geometry in OQMD and Cu Kα (λ = 1.5418 Å).
Kinematic intensities with the Lorentz-polarization factor, no thermal factor.

Structure:
```
data_Nd2TmSn3Ir2Pd
_cell_length_a 4.0759
_cell_length_b 12.9851
_cell_length_c 7.5711
_cell_angle_alpha 90.00
_cell_angle_beta 90.00
_cell_angle_gamma 90.00
_space_group_name_H-M_alt 'A m m 2'
_space_group_IT_number 38
loop_
_space_group_symop_operation_xyz
'x,y,z'
'-x,-y,z'
'-x,y,z'
'x,-y,z'
'x,y+1/2,z+1/2'
'-x,-y+1/2,z+1/2'
'-x,y+1/2,z+1/2'
'x,-y+1/2,z+1/2'
loop_
_atom_site_label
_atom_site_type_symbol
_atom_site_fract_x
_atom_site_fract_y
_atom_site_fract_z
Nd1 Nd 0.0000 0.2064 0.0000
Tm1 Tm 0.0000 0.0000 0.3812
Sn1 Sn 0.5000 0.0000 0.0513
Sn2 Sn 0.5000 0.1285 0.6618
Ir1 Ir 0.5000 0.1602 0.2954
Pd1 Pd 0.0000 0.0000 0.7856
```

Largest 10 diffraction maxima, by angle, 2θ from 5° to 70°:
2θ 32.27, I = 45, (1 0 2)
2θ 32.41, I = 100, (1 3 1)
2θ 35.18, I = 87, (1 2 2)
2θ 35.35, I = 55, (1 4 0)
2θ 36.26, I = 25, (0 1 3)
2θ 36.46, I = 22, (0 4 2)
2θ 41.42, I = 40, (0 3 3)
2θ 44.45, I = 42, (2 0 0)
2θ 58.83, I = 20, (2 4 2)
2θ 62.37, I = 24, (2 3 3)

***

Diffraction record for Pr3NdIr8. The PXRD pattern is calculated, not measured: it uses the PBE geometry in OQMD and Cu Kα (λ = 1.5418 Å).
Kinematic intensities with the Lorentz-polarization factor, no thermal factor.

Structure:
```
data_Pr3NdIr8
_cell_length_a 5.4447
_cell_length_b 5.4447
_cell_length_c 26.6563
_cell_angle_alpha 90.00
_cell_angle_beta 90.00
_cell_angle_gamma 120.00
_space_group_name_H-M_alt 'R 3 m'
_space_group_IT_number 160
_space_group_name_Hall 'R 3 -2"'
loop_
_atom_site_label
_atom_site_type_symbol
_atom_site_fract_x
_atom_site_fract_y
_atom_site_fract_z
Pr1 Pr 0.0000 0.0000 0.0000
Pr2 Pr 0.0000 0.0000 0.1250
Pr3 Pr 0.0000 0.0000 0.5002
Nd1 Nd 0.0000 0.0000 0.6251
Ir1 Ir 0.0000 0.0000 0.3125
Ir2 Ir 0.0000 0.0000 0.8126
Ir3 Ir 0.9998 0.4999 0.0624
Ir4 Ir 0.0001 0.5001 0.5628
```

Largest 9 diffraction maxima, by angle, 2θ from 5° to 70°:
2θ 19.98, I = 16, (0 0 6)
2θ 32.91, I = 19, (1 1 0)
2θ 38.80, I = 100, (2 0 2)
2θ 40.60, I = 50, (0 2 4)
2θ 47.23, I = 10, (2 0 8)
2θ 51.76, I = 4, (0 1 14)
2θ 58.76, I = 7, (3 0 0)
2θ 62.71, I = 33, (2 1 10)
2θ 69.01, I = 30, (2 2 0)

***

Diffraction record for RbNd2Ir. The PXRD pattern is calculated, not measured: it uses the PBE geometry in OQMD and Cu Kα (λ = 1.5418 Å).
Kinematic intensities with the Lorentz-polarization factor, no thermal factor.

Structure:
```
data_RbNd2Ir
_cell_length_a 4.2942
_cell_length_b 4.2942
_cell_length_c 20.8602
_cell_angle_alpha 90.00
_cell_angle_beta 90.00
_cell_angle_gamma 120.00
_space_group_name_H-M_alt 'P 63/m m c'
_space_group_IT_number 194
_space_group_name_Hall '-P 6c 2c'
loop_
_atom_site_label
_atom_site_type_symbol
_atom_site_fract_x
_atom_site_fract_y
_atom_site_fract_z
Rb1 Rb 0.3333 0.6667 0.2500
Nd1 Nd 0.3333 0.6667 0.5679
Ir1 Ir 0.0000 0.0000 0.0000
```

Largest 10 diffraction maxima, by angle, 2θ from 5° to 70°:
2θ 8.48, I = 100, (0 0 2)
2θ 17.00, I = 15, (0 0 4)
2θ 25.43, I = 12, (1 0 2)
2θ 27.19, I = 52, (1 0 3)
2θ 29.50, I = 11, (1 0 4)
2θ 35.34, I = 33, (1 0 6)
2θ 42.08, I = 26, (1 1 0)
2θ 42.33, I = 13, (1 0 8)
2θ 43.01, I = 13, (1 1 2)
2θ 50.83, I = 9, (2 0 3)

***

Diffraction record for NdZn4Ir2. The PXRD pattern is calculated, not measured: it uses the PBE geometry in OQMD and Cu Kα (λ = 1.5418 Å).
Kinematic intensities with the Lorentz-polarization factor, no thermal factor.

Structure:
```
data_NdZn4Ir2
_cell_length_a 7.7123
_cell_length_b 7.7123
_cell_length_c 4.0966
_cell_angle_alpha 90.00
_cell_angle_beta 90.00
_cell_angle_gamma 90.00
_space_group_name_H-M_alt 'P 42/m n m'
_space_group_IT_number 136
_space_group_name_Hall '-P 4n 2n'
loop_
_atom_site_label
_atom_site_type_symbol
_atom_site_fract_x
_atom_site_fract_y
_atom_site_fract_z
Nd1 Nd 0.0000 0.0000 0.0000
Zn1 Zn 0.0924 0.3483 0.5000
Ir1 Ir 0.2123 0.7877 0.5000
```

Largest 10 diffraction maxima, by angle, 2θ from 5° to 70°:
2θ 27.23, I = 51, (1 1 1)
2θ 32.85, I = 51, (2 2 0)
2θ 33.98, I = 98, (2 1 1)
2θ 39.71, I = 39, (2 2 1)
2θ 41.47, I = 25, (3 0 1)
2θ 43.17, I = 100, (3 1 1)
2θ 44.22, I = 44, (0 0 2)
2θ 48.68, I = 38, (4 1 0)
2θ 67.85, I = 28, (4 1 2)
2θ 69.53, I = 25, (5 2 1)

***

Diffraction record for Ta2Zn2Ni2IrOs. The PXRD pattern is calculated, not measured: it uses the PBE geometry in OQMD and Cu Kα (λ = 1.5418 Å).
Kinematic intensities with the Lorentz-polarization factor, no thermal factor.

Structure:
```
data_Ta2Zn2Ni2IrOs
_cell_length_a 4.3303
_cell_length_b 4.3303
_cell_length_c 6.1328
_cell_angle_alpha 90.00
_cell_angle_beta 90.00
_cell_angle_gamma 90.00
_space_group_name_H-M_alt 'P -4 m 2'
_space_group_IT_number 115
loop_
_space_group_symop_operation_xyz
'x,y,z'
'y,-x,-z'
'-x,-y,z'
'-y,x,-z'
'-x,y,z'
'-y,-x,-z'
'x,-y,z'
'y,x,-z'
loop_
_atom_site_label
_atom_site_type_symbol
_atom_site_fract_x
_atom_site_fract_y
_atom_site_fract_z
Ta1 Ta 0.0000 0.5000 0.2488
Zn1 Zn 0.0000 0.5000 0.7508
Ni1 Ni 0.0000 0.0000 0.5000
Ni2 Ni 0.5000 0.5000 0.0000
Ir1 Ir 0.5000 0.5000 0.5000
Os1 Os 0.0000 0.0000 0.0000
```

Largest 5 diffraction maxima, by angle, 2θ from 5° to 70°:
2θ 25.18, I = 26, (1 0 1)
2θ 41.70, I = 100, (2 0 0)
2θ 49.33, I = 13, (2 1 1)
2θ 60.44, I = 17, (2 2 0)
2θ 66.52, I = 6, (3 0 1)

***

Diffraction record for ScNiSb2Ir2. The PXRD pattern is calculated, not measured: it uses the PBE geometry in OQMD and Cu Kα (λ = 1.5418 Å).
Kinematic intensities with the Lorentz-polarization factor, no thermal factor.

Structure:
```
data_ScNiSb2Ir2
_cell_length_a 4.4340
_cell_length_b 8.5535
_cell_length_c 6.1874
_cell_angle_alpha 90.00
_cell_angle_beta 90.00
_cell_angle_gamma 90.00
_space_group_name_H-M_alt 'P m n 21'
_space_group_IT_number 31
loop_
_space_group_symop_operation_xyz
'x,y,z'
'-x+1/2,-y,z+1/2'
'-x,y,z'
'x+1/2,-y,z+1/2'
loop_
_atom_site_label
_atom_site_type_symbol
_atom_site_fract_x
_atom_site_fract_y
_atom_site_fract_z
Sc1 Sc 0.0000 0.1267 0.0000
Ni1 Ni 0.0000 0.6132 0.9901
Sb1 Sb 0.0000 0.1224 0.4997
Sb2 Sb 0.0000 0.6230 0.4624
Ir1 Ir 0.0000 0.3812 0.7261
Ir2 Ir 0.0000 0.8558 0.7550
```

Largest 10 diffraction maxima, by angle, 2θ from 5° to 70°:
2θ 24.70, I = 56, (1 0 1)
2θ 25.32, I = 60, (0 2 1)
2θ 40.70, I = 28, (2 0 0)
2θ 41.38, I = 100, (1 2 2)
2θ 42.26, I = 23, (0 4 0)
2θ 48.54, I = 21, (2 2 1)
2θ 48.69, I = 12, (1 0 3)
2θ 49.57, I = 16, (1 4 1)
2θ 59.79, I = 8, (0 0 4)
2θ 60.12, I = 16, (2 4 0)